The following is a theoretical PXRD pattern of LiPuSn4Rh2. It was derived from a structure optimized by DFT (GGA-PBE), using Cu Ka.

Most intense lines, 2θ = 10–90°, in order of rising 2θ:
| Position (°2θ) | I_rel | index |
| --- | --- | --- |
| 22.61 | 24 | 1 0 1 |
| 27.97 | 50 | 0 1 5 |
| 32.51 | 15 | 1 0 7 |
| 35.09 | 89 | 0 1 8 |
| 39.24 | 100 | 1 1 0 |
| 49.95 | 14 | 1 0 13 |
| 53.65 | 27 | 2 0 8 |
| 68.46 | 26 | 1 2 8 |
| 71.13 | 22 | 3 0 0 |
| 84.38 | 14 | 2 2 0 |

Structure:
Unit cell a=4.5914 b=4.5914 c=26.7215 alpha=90.00 beta=90.00 gamma=120.00
Space group R-3m (No. 166, hexagonal axes)
Asymmetric unit:
Li: 0.0000 0.0000 0.0000 [3 per cell]
Pu: 0.0000 0.0000 0.5000 [3 per cell]
Sn: 0.0000 0.0000 0.1068 [6 per cell]
Sn: 0.0000 0.0000 0.3717 [6 per cell]
Rh: 0.0000 0.0000 0.2678 [6 per cell]

---

The following is a theoretical PXRD pattern of Ce3N2F. It was derived from a structure optimized by DFT (GGA-PBE), using Cu Ka.

Most intense lines, 2θ = 10–90°, in order of rising 2θ:
| Position (°2θ) | I_rel | index |
| --- | --- | --- |
| 27.96 | 23 | 1 1 1 |
| 28.80 | 100 | 0 2 3 |
| 31.54 | 28 | 1 1 2 |
| 34.77 | 36 | 1 3 1 |
| 37.77 | 14 | 1 3 2 |
| 48.18 | 20 | 1 5 2 |
| 51.03 | 22 | 0 0 6 |
| 61.22 | 24 | 2 2 3 |
| 76.47 | 21 | 2 0 6 |
| 83.67 | 12 | 2 4 6 |

Structure:
Unit cell a=3.470 b=12.402 c=10.735 alpha=90.00 beta=90.00 gamma=90.00
Space group Cmcm (No. 63)
Asymmetric unit:
Ce: 0.000 0.105 0.250 [4 per cell]
Ce: 0.000 0.383 0.080 [8 per cell]
N: 0.000 0.000 0.000 [4 per cell]
N: 0.000 0.487 0.250 [4 per cell]
F: 0.000 0.220 0.750 [4 per cell]

---

The following is a theoretical PXRD pattern of CuNiI6. It was derived from a structure optimized by DFT (GGA-PBE), using Cu Ka.

Most intense lines, 2θ = 10–90°, in order of rising 2θ:
| Position (°2θ) | I_rel | index |
| --- | --- | --- |
| 12.76 | 81 | 1 1 0 |
| 14.78 | 59 | 1 1 -1 |
| 19.69 | 62 | 2 0 0 |
| 26.54 | 57 | 1 3 0 |
| 29.79 | 100 | 2 2 -2 |
| 30.87 | 55 | 3 1 0 |
| 35.15 | 24 | 1 3 -2 |
| 41.70 | 32 | 2 4 -2 |
| 43.04 | 37 | 1 3 2 |
| 50.18 | 31 | 5 3 -2 |

Structure:
Unit cell a=10.541 b=10.857 c=7.346 alpha=90.00 beta=121.18 gamma=90.00
Space group C2/m (No. 12)
Asymmetric unit:
Cu: 0.000 0.000 0.000 [2 per cell]
Ni: 0.000 0.000 0.500 [2 per cell]
I: 0.033 0.162 0.285 [8 per cell]
I: 0.153 0.500 0.149 [4 per cell]

---

The following is a theoretical PXRD pattern of Al2NiCl8. It was derived from a structure optimized by DFT (GGA-PBE), using Cu Ka.

Most intense lines, 2θ = 10–90°, in order of rising 2θ:
| Position (°2θ) | I_rel | index |
| --- | --- | --- |
| 12.34 | 100 | 1 1 0 |
| 12.73 | 91 | 2 0 0 |
| 18.53 | 22 | 3 1 -1 |
| 19.49 | 28 | 1 1 -2 |
| 29.34 | 39 | 2 0 2 |
| 29.63 | 81 | 4 2 -2 |
| 39.60 | 18 | 0 0 4 |
| 41.24 | 19 | 4 0 2 |
| 44.67 | 29 | 6 2 0 |
| 53.47 | 16 | 4 2 -6 |

Structure:
Unit cell a=17.679 b=8.374 c=11.566 alpha=90.00 beta=128.10 gamma=90.00
Space group C2/c (No. 15)
Asymmetric unit:
Al: 0.080 0.234 0.029 [8 per cell]
Ni: 0.000 0.012 0.750 [4 per cell]
Cl: 0.064 0.214 0.682 [8 per cell]
Cl: 0.078 0.206 0.215 [8 per cell]
Cl: 0.143 0.024 0.003 [8 per cell]
Cl: 0.150 0.450 0.056 [8 per cell]